Structure and computed powder diffraction line list of Mn6O5F7 (a cell relaxed with GGA+U; Cu Kα X-rays).
Intensities are scaled so that the largest is 100.

Peak list (12 most intense, 2θ = 10–90°, in order of rising 2θ)
- 24.5°, 3.630 Å, I = 100, (0 2 0)
- 28.1°, 3.178 Å, I = 76, (0 0 2)
- 34.3°, 2.612 Å, I = 82, (3 1 1)
- 37.6°, 2.391 Å, I = 14, (0 2 2)
- 38.0°, 2.366 Å, I = 16, (3 2 0)
- 40.5°, 2.226 Å, I = 15, (3 0 2)
- 49.8°, 1.831 Å, I = 67, (3 3 1)
- 50.3°, 1.815 Å, I = 18, (0 4 0)
- 53.8°, 1.704 Å, I = 41, (3 1 3)
- 58.0°, 1.589 Å, I = 12, (0 0 4)
- 59.3°, 1.559 Å, I = 16, (6 0 0)
- 65.8°, 1.419 Å, I = 39, (3 3 3)

Atomic structure:
a = 9.356 Å, b = 7.261 Å, c = 6.356 Å
α = 90.00°, β = 90.00°, γ = 90.00°
Space group Amm2 (No. 38)
Symmetry-distinct sites (fractional):
Mn 0.000 0.000 0.000
Mn 0.165 0.000 0.501
Mn 0.324 0.000 0.002
Mn 0.500 0.000 0.471
O 0.163 0.000 0.198
O 0.165 0.000 0.803
O 0.500 0.000 0.178
F 0.000 0.187 0.501
F 0.336 0.189 0.492
F 0.500 0.000 0.788